# 1
Starting from DFT lattice parameters and positions (GGA-PBE), the XRD peak list of Dy3TmHg7 was calculated for Cu Kα X-rays.
Peak positions follow from Bragg's law for the DFT cell and can differ from measured ones.

Principal peaks in the range 2θ = 10–80°, sorted by position:
13.35°, intensity 24
31.93°, intensity 31
32.88°, intensity 80
35.88°, intensity 100
36.68°, intensity 75
38.08°, intensity 27

Crystal structure
```
data_Dy3TmHg7
_cell_length_a 15.7175
_cell_length_b 15.7175
_cell_length_c 12.5660
_cell_angle_alpha 90.00
_cell_angle_beta 90.00
_cell_angle_gamma 166.81
_space_group_name_H-M_alt 'P 1'
_space_group_IT_number 1
loop_
_space_group_symop_operation_xyz
'x,y,z'
loop_
_atom_site_label
_atom_site_type_symbol
_atom_site_fract_x
_atom_site_fract_y
_atom_site_fract_z
_atom_site_occupancy
Dy1 Dy 0.0683 0.9317 0.5472 1
Dy2 Dy 0.0683 0.9317 0.9528 1
Dy3 Dy 0.1879 0.8121 0.2500 1
Dy4 Dy 0.8121 0.1879 0.7500 1
Dy5 Dy 0.9317 0.0683 0.0472 1
Dy6 Dy 0.9317 0.0683 0.4528 1
Tm1 Tm 0.0713 0.9287 0.2500 1
Tm2 Tm 0.9287 0.0713 0.7500 1
Hg1 Hg 0.2704 0.7296 0.5777 1
Hg2 Hg 0.2704 0.7296 0.9223 1
Hg3 Hg 0.3728 0.6272 0.6010 1
Hg4 Hg 0.3728 0.6272 0.8990 1
Hg5 Hg 0.4200 0.5800 0.2500 1
Hg6 Hg 0.4885 0.5115 0.6185 1
Hg7 Hg 0.4885 0.5115 0.8815 1
Hg8 Hg 0.5115 0.4885 0.1185 1
Hg9 Hg 0.5115 0.4885 0.3815 1
Hg10 Hg 0.5800 0.4200 0.7500 1
Hg11 Hg 0.6272 0.3728 0.1010 1
Hg12 Hg 0.6272 0.3728 0.3990 1
Hg13 Hg 0.7296 0.2704 0.0777 1
Hg14 Hg 0.7296 0.2704 0.4223 1
```


# 2
Starting from DFT lattice parameters and positions (GGA-PBE), the XRD peak list of DyTm3Hg2 was calculated for Cu Kα X-rays.
Peak positions follow from Bragg's law for the DFT cell and can differ from measured ones.

Principal peaks in the range 2θ = 10–80°, sorted by position:
29.30°, intensity 34
31.08°, intensity 25
32.22°, intensity 30
32.63°, intensity 100
34.42°, intensity 87
35.57°, intensity 59

Crystal structure
```
data_DyTm3Hg2
_cell_length_a 5.0472
_cell_length_b 9.1276
_cell_length_c 7.0035
_cell_angle_alpha 90.00
_cell_angle_beta 90.00
_cell_angle_gamma 90.00
_space_group_name_H-M_alt 'P 1'
_space_group_IT_number 1
loop_
_space_group_symop_operation_xyz
'x,y,z'
loop_
_atom_site_label
_atom_site_type_symbol
_atom_site_fract_x
_atom_site_fract_y
_atom_site_fract_z
_atom_site_occupancy
Dy1 Dy 0.0000 0.0551 0.0000 1
Dy2 Dy 0.0000 0.9449 0.5000 1
Tm1 Tm 0.0000 0.3262 0.6531 1
Tm2 Tm 0.0000 0.6738 0.1531 1
Tm3 Tm 0.5000 0.1771 0.3155 1
Tm4 Tm 0.5000 0.4446 0.9678 1
Tm5 Tm 0.5000 0.5554 0.4678 1
Tm6 Tm 0.5000 0.8229 0.8155 1
Hg1 Hg 0.0000 0.3516 0.2224 1
Hg2 Hg 0.0000 0.6484 0.7224 1
Hg3 Hg 0.5000 0.1491 0.7457 1
Hg4 Hg 0.5000 0.8509 0.2457 1
```


# 3
Starting from DFT lattice parameters and positions (GGA-PBE), the XRD peak list of Dy7TmHg4 was calculated for Cu Kα X-rays.
Peak positions follow from Bragg's law for the DFT cell and can differ from measured ones.

Principal peaks in the range 2θ = 10–80°, sorted by position:
29.87°, intensity 48
30.68°, intensity 43
31.55°, intensity 100
33.12°, intensity 35
35.66°, intensity 76
43.99°, intensity 34

Crystal structure
```
data_Dy7TmHg4
_cell_length_a 7.8221
_cell_length_b 7.8221
_cell_length_c 9.7400
_cell_angle_alpha 119.87
_cell_angle_beta 119.87
_cell_angle_gamma 42.52
_space_group_name_H-M_alt 'P 1'
_space_group_IT_number 1
loop_
_space_group_symop_operation_xyz
'x,y,z'
loop_
_atom_site_label
_atom_site_type_symbol
_atom_site_fract_x
_atom_site_fract_y
_atom_site_fract_z
_atom_site_occupancy
Dy1 Dy 0.0000 0.0000 0.0000 1
Dy2 Dy 0.2339 0.2339 0.6866 1
Dy3 Dy 0.2913 0.2913 0.1142 1
Dy4 Dy 0.4338 0.4338 0.5957 1
Dy5 Dy 0.5662 0.5662 0.4043 1
Dy6 Dy 0.7087 0.7087 0.8858 1
Dy7 Dy 0.7661 0.7661 0.3134 1
Tm1 Tm 0.5000 0.5000 0.0000 1
Hg1 Hg 0.0472 0.0472 0.7260 1
Hg2 Hg 0.1883 0.1883 0.3405 1
Hg3 Hg 0.8117 0.8117 0.6595 1
Hg4 Hg 0.9528 0.9528 0.2740 1
```


# 4
Starting from DFT lattice parameters and positions (GGA-PBE), the XRD peak list of Dy4TmHg was calculated for Cu Kα X-rays.
Peak positions follow from Bragg's law for the DFT cell and can differ from measured ones.

Principal peaks in the range 2θ = 10–80°, sorted by position:
31.66°, intensity 100
35.72°, intensity 39
38.64°, intensity 12
51.42°, intensity 14
53.63°, intensity 19
61.65°, intensity 30

Crystal structure
```
data_Dy4TmHg
_cell_length_a 3.5544
_cell_length_b 3.5544
_cell_length_c 13.9822
_cell_angle_alpha 90.00
_cell_angle_beta 90.00
_cell_angle_gamma 90.00
_space_group_name_H-M_alt 'P 1'
_space_group_IT_number 1
loop_
_space_group_symop_operation_xyz
'x,y,z'
loop_
_atom_site_label
_atom_site_type_symbol
_atom_site_fract_x
_atom_site_fract_y
_atom_site_fract_z
_atom_site_occupancy
Dy1 Dy 0.0000 0.0000 0.1450 1
Dy2 Dy 0.0000 0.0000 0.8550 1
Dy3 Dy 0.5000 0.5000 0.3238 1
Dy4 Dy 0.5000 0.5000 0.6762 1
Tm1 Tm 0.0000 0.0000 0.5000 1
Hg1 Hg 0.5000 0.5000 0.0000 1
```


# 5
Starting from DFT lattice parameters and positions (GGA-PBE), the XRD peak list of Dy6Y2Hg was calculated for Cu Kα X-rays.
Peak positions follow from Bragg's law for the DFT cell and can differ from measured ones.

Principal peaks in the range 2θ = 10–80°, sorted by position:
27.39°, intensity 55
31.09°, intensity 68
32.83°, intensity 100
33.42°, intensity 72
38.11°, intensity 47
62.44°, intensity 46

Crystal structure
```
data_Dy6Y2Hg
_cell_length_a 9.8028
_cell_length_b 9.8028
_cell_length_c 3.5493
_cell_angle_alpha 90.00
_cell_angle_beta 90.00
_cell_angle_gamma 123.39
_space_group_name_H-M_alt 'P 1'
_space_group_IT_number 1
loop_
_space_group_symop_operation_xyz
'x,y,z'
loop_
_atom_site_label
_atom_site_type_symbol
_atom_site_fract_x
_atom_site_fract_y
_atom_site_fract_z
_atom_site_occupancy
Dy1 Dy 0.0143 0.3378 0.0000 1
Dy2 Dy 0.2944 0.2944 0.5000 1
Dy3 Dy 0.3378 0.0143 0.0000 1
Dy4 Dy 0.6622 0.9857 0.0000 1
Dy5 Dy 0.7056 0.7056 0.5000 1
Dy6 Dy 0.9857 0.6622 0.0000 1
Y1 Y 0.3191 0.6809 0.5000 1
Y2 Y 0.6809 0.3191 0.5000 1
Hg1 Hg 0.0000 0.0000 0.0000 1
```


# 6
Starting from DFT lattice parameters and positions (GGA-PBE), the XRD peak list of DyYHg4 was calculated for Cu Kα X-rays.
Peak positions follow from Bragg's law for the DFT cell and can differ from measured ones.

Principal peaks in the range 2θ = 10–80°, sorted by position:
29.45°, intensity 70
33.18°, intensity 52
33.64°, intensity 100
41.61°, intensity 56
44.94°, intensity 45
48.78°, intensity 35

Crystal structure
```
data_DyYHg4
_cell_length_a 3.9795
_cell_length_b 5.4009
_cell_length_c 7.3655
_cell_angle_alpha 90.00
_cell_angle_beta 105.10
_cell_angle_gamma 90.00
_space_group_name_H-M_alt 'P 1'
_space_group_IT_number 1
loop_
_space_group_symop_operation_xyz
'x,y,z'
loop_
_atom_site_label
_atom_site_type_symbol
_atom_site_fract_x
_atom_site_fract_y
_atom_site_fract_z
_atom_site_occupancy
Dy1 Dy 0.0000 0.0000 0.0000 1
Y1 Y 0.0000 0.5000 0.5000 1
Hg1 Hg 0.3389 0.5000 0.1641 1
Hg2 Hg 0.3414 0.0000 0.6653 1
Hg3 Hg 0.6586 0.0000 0.3347 1
Hg4 Hg 0.6611 0.5000 0.8359 1
```


# 7
Starting from DFT lattice parameters and positions (GGA-PBE), the XRD peak list of DyY3Hg7 was calculated for Cu Kα X-rays.
Peak positions follow from Bragg's law for the DFT cell and can differ from measured ones.

Principal peaks in the range 2θ = 10–80°, sorted by position:
24.66°, intensity 30
29.61°, intensity 31
32.64°, intensity 100
35.89°, intensity 92
36.62°, intensity 97
37.80°, intensity 32

Crystal structure
```
data_DyY3Hg7
_cell_length_a 15.6373
_cell_length_b 15.6373
_cell_length_c 12.6583
_cell_angle_alpha 90.00
_cell_angle_beta 90.00
_cell_angle_gamma 166.65
_space_group_name_H-M_alt 'P 1'
_space_group_IT_number 1
loop_
_space_group_symop_operation_xyz
'x,y,z'
loop_
_atom_site_label
_atom_site_type_symbol
_atom_site_fract_x
_atom_site_fract_y
_atom_site_fract_z
_atom_site_occupancy
Dy1 Dy 0.0713 0.9287 0.7500 1
Dy2 Dy 0.9287 0.0713 0.2500 1
Y1 Y 0.0692 0.9308 0.0476 1
Y2 Y 0.0692 0.9308 0.4524 1
Y3 Y 0.1895 0.8105 0.7500 1
Y4 Y 0.8105 0.1895 0.2500 1
Y5 Y 0.9308 0.0692 0.5476 1
Y6 Y 0.9308 0.0692 0.9524 1
Hg1 Hg 0.2693 0.7307 0.0782 1
Hg2 Hg 0.2693 0.7307 0.4218 1
Hg3 Hg 0.3717 0.6283 0.1005 1
Hg4 Hg 0.3717 0.6283 0.3995 1
Hg5 Hg 0.4220 0.5780 0.7500 1
Hg6 Hg 0.4886 0.5114 0.1169 1
Hg7 Hg 0.4886 0.5114 0.3831 1
Hg8 Hg 0.5114 0.4886 0.6169 1
Hg9 Hg 0.5114 0.4886 0.8831 1
Hg10 Hg 0.5780 0.4220 0.2500 1
Hg11 Hg 0.6283 0.3717 0.6005 1
Hg12 Hg 0.6283 0.3717 0.8995 1
Hg13 Hg 0.7307 0.2693 0.5782 1
Hg14 Hg 0.7307 0.2693 0.9218 1
```


# 8
Starting from DFT lattice parameters and positions (GGA-PBE), the XRD peak list of Dy3YHg7 was calculated for Cu Kα X-rays.
Peak positions follow from Bragg's law for the DFT cell and can differ from measured ones.

Principal peaks in the range 2θ = 10–80°, sorted by position:
13.30°, intensity 52
31.91°, intensity 45
32.83°, intensity 100
35.73°, intensity 63
35.86°, intensity 48
36.56°, intensity 87

Crystal structure
```
data_Dy3YHg7
_cell_length_a 15.7699
_cell_length_b 15.7699
_cell_length_c 12.6371
_cell_angle_alpha 90.00
_cell_angle_beta 90.00
_cell_angle_gamma 166.88
_space_group_name_H-M_alt 'P 1'
_space_group_IT_number 1
loop_
_space_group_symop_operation_xyz
'x,y,z'
loop_
_atom_site_label
_atom_site_type_symbol
_atom_site_fract_x
_atom_site_fract_y
_atom_site_fract_z
_atom_site_occupancy
Dy1 Dy 0.0686 0.9314 0.5471 1
Dy2 Dy 0.0686 0.9314 0.9529 1
Dy3 Dy 0.1885 0.8115 0.2500 1
Dy4 Dy 0.8115 0.1885 0.7500 1
Dy5 Dy 0.9314 0.0686 0.0471 1
Dy6 Dy 0.9314 0.0686 0.4529 1
Y1 Y 0.0719 0.9281 0.2500 1
Y2 Y 0.9281 0.0719 0.7500 1
Hg1 Hg 0.2698 0.7302 0.5782 1
Hg2 Hg 0.2698 0.7302 0.9218 1
Hg3 Hg 0.3713 0.6287 0.5977 1
Hg4 Hg 0.3713 0.6287 0.9023 1
Hg5 Hg 0.4217 0.5783 0.2500 1
Hg6 Hg 0.4889 0.5111 0.6174 1
Hg7 Hg 0.4889 0.5111 0.8826 1
Hg8 Hg 0.5111 0.4889 0.1174 1
Hg9 Hg 0.5111 0.4889 0.3826 1
Hg10 Hg 0.5783 0.4217 0.7500 1
Hg11 Hg 0.6287 0.3713 0.0977 1
Hg12 Hg 0.6287 0.3713 0.4023 1
Hg13 Hg 0.7302 0.2698 0.0782 1
Hg14 Hg 0.7302 0.2698 0.4218 1
```


# 9
Starting from DFT lattice parameters and positions (GGA-PBE), the XRD peak list of Dy2YHg4 was calculated for Cu Kα X-rays.
Peak positions follow from Bragg's law for the DFT cell and can differ from measured ones.

Principal peaks in the range 2θ = 10–80°, sorted by position:
24.38°, intensity 25
34.23°, intensity 100
35.26°, intensity 95
49.96°, intensity 37
60.61°, intensity 18
62.62°, intensity 36

Crystal structure
```
data_Dy2YHg4
_cell_length_a 9.1706
_cell_length_b 9.1706
_cell_length_c 9.1706
_cell_angle_alpha 32.23
_cell_angle_beta 32.23
_cell_angle_gamma 32.23
_space_group_name_H-M_alt 'P 1'
_space_group_IT_number 1
loop_
_space_group_symop_operation_xyz
'x,y,z'
loop_
_atom_site_label
_atom_site_type_symbol
_atom_site_fract_x
_atom_site_fract_y
_atom_site_fract_z
_atom_site_occupancy
Dy1 Dy 0.2444 0.2444 0.2444 1
Dy2 Dy 0.7556 0.7556 0.7556 1
Y1 Y 0.0000 0.0000 0.0000 1
Hg1 Hg 0.1266 0.1266 0.1266 1
Hg2 Hg 0.3754 0.3754 0.3754 1
Hg3 Hg 0.6246 0.6246 0.6246 1
Hg4 Hg 0.8734 0.8734 0.8734 1
```


# 10
Starting from DFT lattice parameters and positions (GGA-PBE), the XRD peak list of Dy2Y2Hg3 was calculated for Cu Kα X-rays.
Peak positions follow from Bragg's law for the DFT cell and can differ from measured ones.

Principal peaks in the range 2θ = 10–80°, sorted by position:
10.46°, intensity 29
34.55°, intensity 100
34.61°, intensity 98
49.66°, intensity 24
61.86°, intensity 25
62.01°, intensity 42

Crystal structure
```
data_Dy2Y2Hg3
_cell_length_a 5.1872
_cell_length_b 5.1872
_cell_length_c 8.9662
_cell_angle_alpha 106.71
_cell_angle_beta 106.71
_cell_angle_gamma 60.17
_space_group_name_H-M_alt 'P 1'
_space_group_IT_number 1
loop_
_space_group_symop_operation_xyz
'x,y,z'
loop_
_atom_site_label
_atom_site_type_symbol
_atom_site_fract_x
_atom_site_fract_y
_atom_site_fract_z
_atom_site_occupancy
Dy1 Dy 0.1210 0.1210 0.3640 1
Dy2 Dy 0.8790 0.8790 0.6360 1
Y1 Y 0.3725 0.3725 0.1186 1
Y2 Y 0.6275 0.6275 0.8814 1
Hg1 Hg 0.2519 0.2519 0.7549 1
Hg2 Hg 0.5000 0.5000 0.5000 1
Hg3 Hg 0.7481 0.7481 0.2451 1
```


# 11
Starting from DFT lattice parameters and positions (GGA-PBE), the XRD peak list of Dy4ZnHg7 was calculated for Cu Kα X-rays.
Peak positions follow from Bragg's law for the DFT cell and can differ from measured ones.

Principal peaks in the range 2θ = 10–80°, sorted by position:
27.67°, intensity 14
30.38°, intensity 29
34.39°, intensity 100
40.28°, intensity 30
46.50°, intensity 18
61.58°, intensity 15

Crystal structure
```
data_Dy4ZnHg7
_cell_length_a 7.0953
_cell_length_b 7.0953
_cell_length_c 10.5118
_cell_angle_alpha 117.92
_cell_angle_beta 117.92
_cell_angle_gamma 43.18
_space_group_name_H-M_alt 'P 1'
_space_group_IT_number 1
loop_
_space_group_symop_operation_xyz
'x,y,z'
loop_
_atom_site_label
_atom_site_type_symbol
_atom_site_fract_x
_atom_site_fract_y
_atom_site_fract_z
_atom_site_occupancy
Dy1 Dy 0.0758 0.0758 0.2730 1
Dy2 Dy 0.2347 0.2347 0.8054 1
Dy3 Dy 0.7653 0.7653 0.1946 1
Dy4 Dy 0.9242 0.9242 0.7270 1
Zn1 Zn 0.5000 0.5000 0.5000 1
Hg1 Hg 0.0000 0.0000 0.5000 1
Hg2 Hg 0.1435 0.1435 0.0359 1
Hg3 Hg 0.3123 0.3123 0.5698 1
Hg4 Hg 0.4204 0.4204 0.1566 1
Hg5 Hg 0.5796 0.5796 0.8434 1
Hg6 Hg 0.6877 0.6877 0.4302 1
Hg7 Hg 0.8565 0.8565 0.9641 1
```


# 12
Starting from DFT lattice parameters and positions (GGA-PBE), the XRD peak list of Dy2Zn5Hg was calculated for Cu Kα X-rays.
Peak positions follow from Bragg's law for the DFT cell and can differ from measured ones.

Principal peaks in the range 2θ = 10–80°, sorted by position:
29.16°, intensity 46
33.15°, intensity 100
34.59°, intensity 65
36.81°, intensity 26
41.99°, intensity 40
45.00°, intensity 22

Crystal structure
```
data_Dy2Zn5Hg
_cell_length_a 8.4021
_cell_length_b 8.4021
_cell_length_c 9.0479
_cell_angle_alpha 90.00
_cell_angle_beta 90.00
_cell_angle_gamma 150.32
_space_group_name_H-M_alt 'P 1'
_space_group_IT_number 1
loop_
_space_group_symop_operation_xyz
'x,y,z'
loop_
_atom_site_label
_atom_site_type_symbol
_atom_site_fract_x
_atom_site_fract_y
_atom_site_fract_z
_atom_site_occupancy
Dy1 Dy 0.0000 0.0000 0.0000 1
Dy2 Dy 0.0000 0.0000 0.5000 1
Dy3 Dy 0.2004 0.7996 0.7500 1
Dy4 Dy 0.7996 0.2004 0.2500 1
Zn1 Zn 0.1872 0.8128 0.1085 1
Zn2 Zn 0.1872 0.8128 0.3915 1
Zn3 Zn 0.3462 0.6538 0.0201 1
Zn4 Zn 0.3462 0.6538 0.4799 1
Zn5 Zn 0.3906 0.6094 0.7500 1
Zn6 Zn 0.6094 0.3906 0.2500 1
Zn7 Zn 0.6538 0.3462 0.5201 1
Zn8 Zn 0.6538 0.3462 0.9799 1
Zn9 Zn 0.8128 0.1872 0.6085 1
Zn10 Zn 0.8128 0.1872 0.8915 1
Hg1 Hg 0.4490 0.5510 0.2500 1
Hg2 Hg 0.5510 0.4490 0.7500 1
```